Computed XRD peak list of Li3V4O8 for Cu Kα X-rays, from DFT lattice parameters and positions (GGA+U).
Intensities are scaled so that the largest is 100.

Largest 6 diffraction maxima, low angle first, 10 to 90 degrees two-theta:
17.5 deg, 5.077 Å, I 77, hkl 0 1 0
18.2 deg, 4.865 Å, I 100, hkl 1 0 -1
18.4 deg, 4.818 Å, I 48, hkl 0 0 2
42.3 deg, 2.136 Å, I 51, hkl 0 2 -4
42.6 deg, 2.120 Å, I 51, hkl -2 2 2
42.8 deg, 2.113 Å, I 50, hkl 2 0 2

Structural model:
Unit cell a=5.9177 b=6.1406 c=10.2112 alpha=106.75 beta=90.22 gamma=118.81
Space group P1 (No. 1)
Unique sites:
Li  0.0000  0.0000  0.0000
Li  0.0569  0.1382  0.3590
Li  0.2810  0.5701  0.4288
Li  0.4943  0.0022  0.5004
Li  0.5626  0.1377  0.8545
Li  0.7881  0.5673  0.9228
V  0.0278  0.5727  0.6762
V  0.0302  0.0792  0.6813
V  0.0303  0.5735  0.1809
V  0.2884  0.5729  0.9296
V  0.5281  0.5719  0.1764
V  0.5277  0.5760  0.6790
V  0.5312  0.0736  0.1796
V  0.7795  0.5749  0.4347
O  0.1299  0.8132  0.5533
O  0.1638  0.3452  0.5631
O  0.1668  0.8059  0.0592
O  0.1935  0.3673  0.0654
O  0.3773  0.7742  0.8004
O  0.3949  0.3322  0.8007
O  0.3983  0.8008  0.2930
O  0.4290  0.3384  0.2998
O  0.6491  0.8185  0.0684
O  0.6641  0.3465  0.0658
O  0.6666  0.8134  0.5545
O  0.6701  0.3664  0.5503
O  0.8625  0.7684  0.3020
O  0.8926  0.8006  0.7925
O  0.8978  0.3445  0.3048
O  0.9230  0.3336  0.7976